(1)
Structure and computed powder diffractogram of Ce4Ge3Cl (a DFT-relaxed cell (GGA-PBE, Alexandria); Cu Kα).
Peak positions follow from Bragg's law for the DFT cell and can differ from measured ones.

Crystal structure
Unit cell a=5.9484 b=5.9484 c=11.9226 alpha=90.00 beta=90.00 gamma=90.00
Space group I4/mmm (No. 139)
Symmetry-distinct sites (fractional):
Ce1 0.0000 0.0000 0.2489 x4
Ce2 0.0000 0.5000 0.0000 x4
Ge1 0.0000 0.0000 0.0000 x2
Ge2 0.0000 0.5000 0.2500 x4
Cl1 0.0000 0.0000 0.5000 x2

Main lines, by angle (10° ≤ 2θ ≤ 80°):
25.9 deg, I = 24.7, hkl 1 1 2
30.0 deg, I = 100.0, hkl 2 0 0
43.0 deg, I = 74.3, hkl 2 2 0
50.9 deg, I = 12.2, hkl 3 1 2
53.3 deg, I = 26.1, hkl 2 2 4
62.5 deg, I = 8.0, hkl 4 0 0
70.7 deg, I = 11.1, hkl 2 0 8
70.8 deg, I = 22.0, hkl 4 2 0
78.7 deg, I = 8.2, hkl 2 2 8
78.8 deg, I = 16.4, hkl 4 2 4



(2)
Structure and computed powder diffractogram of Ce3GeCl (a DFT-relaxed cell (GGA-PBE, Alexandria); Cu Kα).
Peak positions follow from Bragg's law for the DFT cell and can differ from measured ones.

Crystal structure
Unit cell a=12.3454 b=6.3263 c=6.3105 alpha=90.00 beta=90.00 gamma=90.00
Space group Pbcm (No. 57)
Symmetry-distinct sites (fractional):
Ce1 0.0075 0.2500 0.0000 x4
Ce2 0.2571 0.5300 0.2500 x4
Ce3 0.4152 0.6192 0.7500 x4
Ge1 0.1727 0.5115 0.7500 x4
Cl1 0.3994 0.2500 0.0000 x4

Main lines, by angle (10° ≤ 2θ ≤ 80°):
29.2 deg, I = 35.5, hkl 1 0 2
29.5 deg, I = 75.4, hkl 3 1 1
31.8 deg, I = 100.0, hkl 2 2 0
32.5 deg, I = 26.8, hkl 1 2 1
34.9 deg, I = 21.1, hkl 2 2 1
35.3 deg, I = 29.1, hkl 4 1 1
35.8 deg, I = 35.7, hkl 3 2 0
36.4 deg, I = 20.2, hkl 5 0 0
40.4 deg, I = 46.4, hkl 0 2 2
53.1 deg, I = 17.2, hkl 6 0 2



(3)
Structure and computed powder diffractogram of Ce2GeICl (a DFT-relaxed cell (GGA-PBE, Alexandria); Cu Kα).
Peak positions follow from Bragg's law for the DFT cell and can differ from measured ones.

Crystal structure
Unit cell a=4.9498 b=4.9498 c=7.3730 alpha=90.00 beta=90.00 gamma=120.00
Space group P3m1 (No. 156)
Symmetry-distinct sites (fractional):
Ce1 0.0000 0.0000 0.0000 x1
Ce2 0.3333 0.6667 0.4507 x1
Ge1 0.0000 0.0000 0.3807 x1
I1 0.6667 0.3333 0.7462 x1
Cl1 0.3333 0.6667 0.0593 x1

Main lines, by angle (10° ≤ 2θ ≤ 80°):
24.0 deg, I = 100.0, hkl 0 1 1
32.0 deg, I = 64.8, hkl 0 1 2
36.3 deg, I = 79.3, hkl 1 1 0
42.4 deg, I = 22.1, hkl 1 0 3
44.0 deg, I = 34.4, hkl 2 0 1
49.2 deg, I = 19.2, hkl 2 0 2
52.5 deg, I = 25.0, hkl 1 1 3
58.3 deg, I = 17.4, hkl 1 2 1
62.6 deg, I = 18.4, hkl 1 2 2
65.3 deg, I = 13.9, hkl 3 0 0



(4)
Structure and computed powder diffractogram of Ce6HOs2Cl3 (a DFT-relaxed cell (GGA-PBE, Alexandria); Cu Kα).
Peak positions follow from Bragg's law for the DFT cell and can differ from measured ones.

Crystal structure
Unit cell a=6.7636 b=11.7037 c=7.7452 alpha=90.00 beta=106.91 gamma=90.00
Space group C2/m (No. 12)
Symmetry-distinct sites (fractional):
Ce1 0.2325 0.1631 0.2095 x8
Ce2 0.2454 0.5000 0.2160 x4
H1 0.0000 0.0000 0.0000 x2
Os1 0.0000 0.3348 0.0000 x4
Cl1 0.0000 0.1755 0.5000 x4
Cl2 0.0000 0.5000 0.5000 x2

Main lines, by angle (10° ≤ 2θ ≤ 80°):
11.9 deg, I = 38.9, hkl 0 0 1
27.6 deg, I = 9.6, hkl 1 3 -1
31.0 deg, I = 100.0, hkl 2 0 -2
38.9 deg, I = 17.0, hkl 1 3 2
42.1 deg, I = 34.9, hkl 1 3 -3
46.5 deg, I = 34.0, hkl 3 3 -1
52.8 deg, I = 11.7, hkl 2 0 3
57.0 deg, I = 11.5, hkl 2 6 -2
70.0 deg, I = 10.7, hkl 3 3 -5
76.5 deg, I = 14.3, hkl 5 3 -3



(5)
Structure and computed powder diffractogram of CeHoCl6 (a DFT-relaxed cell (GGA-PBE, Alexandria); Cu Kα).
Peak positions follow from Bragg's law for the DFT cell and can differ from measured ones.

Crystal structure
Unit cell a=6.7879 b=12.2730 c=6.7797 alpha=90.00 beta=105.50 gamma=90.00
Space group C2/m (No. 12)
Symmetry-distinct sites (fractional):
Ce1 0.0000 0.0000 0.0000 x2
Ho1 0.0000 0.5000 0.5000 x2
Cl1 0.2363 0.3554 0.7414 x8
Cl2 0.2483 0.5000 0.2600 x4

Main lines, by angle (10° ≤ 2θ ≤ 80°):
14.4 deg, I = 93.5, hkl 0 2 0
17.9 deg, I = 100.0, hkl 1 1 -1
22.8 deg, I = 45.0, hkl 1 1 1
30.9 deg, I = 66.8, hkl 1 3 1
31.0 deg, I = 35.8, hkl 0 2 2
33.2 deg, I = 28.6, hkl 2 0 -2
36.4 deg, I = 19.0, hkl 2 2 -2
40.3 deg, I = 36.9, hkl 0 4 2
40.7 deg, I = 20.1, hkl 3 1 -1
45.9 deg, I = 41.6, hkl 1 3 -3



(6)
Structure and computed powder diffractogram of CeIn3Cl6 (a DFT-relaxed cell (GGA-PBE, Alexandria); Cu Kα).
Peak positions follow from Bragg's law for the DFT cell and can differ from measured ones.

Crystal structure
Unit cell a=7.5047 b=8.3775 c=12.9149 alpha=90.00 beta=122.07 gamma=90.00
Space group P2_1/c (No. 14)
Symmetry-distinct sites (fractional):
Ce1 0.0000 0.0000 0.0000 x2
In1 0.2956 0.0676 0.7736 x4
In2 0.5000 0.0000 0.5000 x2
Cl1 0.0944 0.0716 0.2338 x4
Cl2 0.2518 0.7306 0.0861 x4
Cl3 0.3520 0.1621 0.0367 x4

Main lines, by angle (10° ≤ 2θ ≤ 80°):
21.2 deg, I = 44.6, hkl 0 2 0
22.2 deg, I = 100.0, hkl 1 1 1
23.3 deg, I = 96.6, hkl 1 1 -3
23.8 deg, I = 39.9, hkl 2 0 -2
32.1 deg, I = 53.2, hkl 2 2 -2
32.7 deg, I = 45.3, hkl 0 0 4
35.1 deg, I = 21.4, hkl 1 3 0
39.3 deg, I = 28.9, hkl 0 2 4
40.3 deg, I = 37.2, hkl 3 1 -1
42.1 deg, I = 56.4, hkl 3 1 -5



(7)
Structure and computed powder diffractogram of CeInCl6 (a DFT-relaxed cell (GGA-PBE, Alexandria); Cu Kα).
Peak positions follow from Bragg's law for the DFT cell and can differ from measured ones.

Crystal structure
Unit cell a=6.6655 b=12.2060 c=6.6422 alpha=90.00 beta=106.09 gamma=90.00
Space group C2/m (No. 12)
Symmetry-distinct sites (fractional):
Ce1 0.0000 0.0000 0.0000 x2
In1 0.0000 0.5000 0.5000 x2
Cl1 0.2259 0.3548 0.7335 x8
Cl2 0.2494 0.5000 0.2619 x4

Main lines, by angle (10° ≤ 2θ ≤ 80°):
14.5 deg, I = 97.2, hkl 0 2 0
18.2 deg, I = 100.0, hkl 1 1 -1
23.4 deg, I = 43.0, hkl 1 1 1
31.4 deg, I = 73.2, hkl 1 3 1
31.6 deg, I = 32.9, hkl 0 2 2
33.7 deg, I = 31.7, hkl 2 0 -2
36.9 deg, I = 19.0, hkl 2 2 -2
40.9 deg, I = 31.1, hkl 0 4 2
46.6 deg, I = 22.2, hkl 3 3 -1
46.8 deg, I = 22.4, hkl 1 3 -3



(8)
Structure and computed powder diffractogram of Ce3IrCl3 (a DFT-relaxed cell (GGA-PBE, Alexandria); Cu Kα).
Peak positions follow from Bragg's law for the DFT cell and can differ from measured ones.

Crystal structure
Unit cell a=11.6948 b=11.6948 c=11.6948 alpha=90.00 beta=90.00 gamma=90.00
Space group I4_132 (No. 214)
Symmetry-distinct sites (fractional):
Ce1 0.1150 0.3650 0.1250 x24
Ir1 0.1250 0.1250 0.1250 x8
Cl1 0.1223 0.1277 0.6250 x24

Main lines, by angle (10° ≤ 2θ ≤ 80°):
10.7 deg, I = 100.0, hkl 1 1 0
24.1 deg, I = 21.2, hkl 3 1 0
30.6 deg, I = 86.5, hkl 4 0 0
32.5 deg, I = 17.3, hkl 4 1 1
39.3 deg, I = 24.6, hkl 5 1 0
43.8 deg, I = 61.7, hkl 4 4 0
50.6 deg, I = 12.3, hkl 5 4 1
54.3 deg, I = 21.0, hkl 4 4 4
55.6 deg, I = 11.4, hkl 5 5 0
72.3 deg, I = 25.3, hkl 8 4 0



(9)
Structure and computed powder diffractogram of Ce3IrCl2 (a DFT-relaxed cell (GGA-PBE, Alexandria); Cu Kα).
Peak positions follow from Bragg's law for the DFT cell and can differ from measured ones.

Crystal structure
Unit cell a=3.9790 b=5.8418 c=12.7153 alpha=90.00 beta=90.00 gamma=90.00
Space group Immm (No. 71)
Symmetry-distinct sites (fractional):
Ce1 0.0000 0.0000 0.0000 x2
Ce2 0.0000 0.0000 0.3473 x4
Ir1 0.0000 0.5000 0.0000 x2
Cl1 0.0000 0.5000 0.3313 x4

Main lines, by angle (10° ≤ 2θ ≤ 80°):
13.9 deg, I = 26.5, hkl 0 0 2
16.7 deg, I = 28.1, hkl 0 1 1
30.6 deg, I = 57.5, hkl 0 2 0
30.8 deg, I = 100.0, hkl 1 0 3
42.7 deg, I = 18.6, hkl 0 0 6
44.0 deg, I = 74.3, hkl 1 2 3
45.6 deg, I = 17.2, hkl 2 0 0
53.4 deg, I = 19.1, hkl 0 2 6
55.9 deg, I = 18.7, hkl 2 2 0
72.5 deg, I = 16.7, hkl 1 4 3



(10)
Structure and computed powder diffractogram of Ce8Ir5Cl (a DFT-relaxed cell (GGA-PBE, Alexandria); Cu Kα).
Peak positions follow from Bragg's law for the DFT cell and can differ from measured ones.

Crystal structure
Unit cell a=8.8200 b=8.8200 c=8.6318 alpha=90.00 beta=90.00 gamma=90.00
Space group I-4 (No. 82)
Symmetry-distinct sites (fractional):
Ce1 0.0643 0.1983 0.1741 x8
Ce2 0.0643 0.3185 0.5684 x8
Ir1 0.0000 0.5000 0.2500 x2
Ir2 0.1301 0.2505 0.8687 x8
Cl1 0.0000 0.0000 0.5000 x2

Main lines, by angle (10° ≤ 2θ ≤ 80°):
32.1 deg, I = 100.0, hkl 3 1 0
32.7 deg, I = 39.9, hkl 1 0 3
38.2 deg, I = 26.5, hkl 2 3 1
38.4 deg, I = 18.8, hkl 3 1 2
38.7 deg, I = 29.2, hkl 2 1 3
48.9 deg, I = 14.9, hkl 3 2 3
50.9 deg, I = 11.3, hkl 2 4 2
53.0 deg, I = 13.6, hkl 3 4 1
53.7 deg, I = 15.2, hkl 1 3 4
65.2 deg, I = 10.2, hkl 6 1 1



(11)
Structure and computed powder diffractogram of Ce4TcIrCl2 (a DFT-relaxed cell (GGA-PBE, Alexandria); Cu Kα).
Peak positions follow from Bragg's law for the DFT cell and can differ from measured ones.

Crystal structure
Unit cell a=6.9713 b=4.0223 c=7.7547 alpha=90.00 beta=107.55 gamma=90.00
Space group P2/m (No. 10)
Symmetry-distinct sites (fractional):
Ce1 0.2302 0.0000 0.2085 x2
Ce2 0.2596 0.5000 0.7931 x2
Tc1 0.0000 0.5000 0.0000 x1
Ir1 0.5000 0.0000 0.0000 x1
Cl1 0.0000 0.0000 0.5000 x1
Cl2 0.5000 0.5000 0.5000 x1

Main lines, by angle (10° ≤ 2θ ≤ 80°):
12.0 deg, I = 47.5, hkl 0 0 1
30.3 deg, I = 100.0, hkl 2 0 -2
38.4 deg, I = 19.9, hkl 1 1 2
41.6 deg, I = 32.8, hkl 1 1 -3
45.1 deg, I = 35.7, hkl 0 2 0
46.8 deg, I = 10.5, hkl 3 1 0
52.4 deg, I = 12.9, hkl 2 0 3
55.3 deg, I = 17.9, hkl 2 2 -2
62.9 deg, I = 6.3, hkl 4 0 -4
74.0 deg, I = 9.9, hkl 1 3 1